(1)
Diffraction record for Fe4Te3Se. The powder XRD pattern is simulated, not measured: it uses a crystal structure in the Materials Project, relaxed with GGA-PBE and Cu Kα (λ = 1.5418 Å).

Crystal structure
a = 3.6573 Å, b = 7.2883 Å, c = 6.4154 Å
α = 90.00°, β = 90.00°, γ = 90.00°
Positions (direct):
Fe1 0.0000 0.0000 0.0000
Fe2 0.0000 0.5000 0.0074
Fe3 0.5000 0.2446 0.0041
Fe4 0.5000 0.7554 0.0041
Te1 0.0000 0.2484 0.2894
Te2 0.0000 0.7516 0.2894
Te3 0.5000 0.5000 0.7226
Se1 0.5000 0.0000 0.7502

Top 6 peaks for 2θ from 10° to 90°, in order of falling intensity:
| 2theta | d [Å] | I/Imax |
| --- | --- | --- |
| 28.1 | 3.173 | 100.0 |
| 45.1 | 2.011 | 58.9 |
| 37.6 | 2.395 | 23.8 |
| 13.8 | 6.415 | 19.3 |
| 49.4 | 1.845 | 15.7 |
| 58.3 | 1.584 | 13.9 |



(2)
Diffraction record for Te. The powder XRD pattern is simulated, not measured: it uses a crystal structure in the Materials Project, relaxed with GGA-PBE and Cu Kα (λ = 1.5418 Å).

Crystal structure
a = 4.7170 Å, b = 4.7170 Å, c = 5.0220 Å
α = 90.00°, β = 90.00°, γ = 120.00°
Positions (direct):
Te1 0.0000 0.0000 0.0000
Te2 0.3333 0.6667 0.6667
Te3 0.6667 0.3333 0.3333

Top 6 peaks for 2θ from 10° to 90°, in order of falling intensity:
| 2theta | d [Å] | I/Imax |
| --- | --- | --- |
| 28.2 | 3.169 | 100.0 |
| 38.2 | 2.358 | 44.1 |
| 42.2 | 2.139 | 33.1 |
| 48.1 | 1.892 | 22.7 |
| 63.0 | 1.476 | 20.0 |
| 68.8 | 1.365 | 15.3 |



(3)
Diffraction record for Li7Si3. The powder XRD pattern is simulated, not measured: it uses a crystal structure in the Materials Project, relaxed with GGA-PBE and Cu Kα (λ = 1.5418 Å).

Crystal structure
a = 7.5799 Å, b = 7.5799 Å, c = 18.0027 Å
α = 90.00°, β = 90.00°, γ = 120.00°
Positions (direct):
Li1 0.1978 0.4191 0.1268
Li2 0.1978 0.7787 0.8732
Li3 0.1999 0.0898 0.7887
Li4 0.1999 0.1100 0.2113
Li5 0.2197 0.1087 0.6348
Li6 0.2197 0.1111 0.3652
Li7 0.2196 0.4411 0.9838
Li8 0.2196 0.7785 0.0162
Li9 0.2213 0.4191 0.5398
Li10 0.2213 0.8022 0.4602
Li11 0.2215 0.4411 0.6829
Li12 0.2215 0.7804 0.3171
Li13 0.2234 0.4468 0.8333
Li14 0.2234 0.7766 0.1667
Li15 0.5320 0.1114 0.5402
Li16 0.5320 0.4205 0.4598
Li17 0.5528 0.1112 0.6831
Li18 0.5528 0.4416 0.3169
Li19 0.5532 0.7766 0.5000
Li20 0.5555 0.1109 0.8333
Li21 0.5555 0.4445 0.1667
Li22 0.5584 0.1112 0.9835
Li23 0.5584 0.4472 0.0165
Li24 0.5589 0.7785 0.6505
Li25 0.5589 0.7804 0.3495
Li26 0.5795 0.1114 0.1265
Li27 0.5795 0.4680 0.8735
Li28 0.5809 0.7787 0.7935
Li29 0.5809 0.8022 0.2065
Li30 0.8889 0.1087 0.0318
Li31 0.8886 0.4205 0.2069
Li32 0.8888 0.4416 0.3498
Li33 0.8891 0.4445 0.5000
Li34 0.8888 0.4472 0.6502
Li35 0.8886 0.4680 0.7931
Li36 0.8889 0.7803 0.9682
Li37 0.8900 0.0898 0.8779
Li38 0.8900 0.8001 0.1221
Li39 0.8913 0.1111 0.3015
Li40 0.8913 0.7803 0.6985
Li41 0.9102 0.1100 0.4554
Li42 0.9102 0.8001 0.5446
Si1 0.2269 0.4621 0.3987
Si2 0.2269 0.7647 0.6013
Si3 0.2353 0.4621 0.2680
Si4 0.2353 0.7731 0.7320
Si5 0.2406 0.1163 0.0658
Si6 0.2406 0.1244 0.9342
Si7 0.5379 0.7647 0.0653
Si8 0.5379 0.7731 0.9347
Si9 0.5461 0.1105 0.2681
Si10 0.5461 0.4356 0.7319
Si11 0.5644 0.1105 0.3986
Si12 0.5644 0.4539 0.6014
Si13 0.8756 0.1163 0.6009
Si14 0.8756 0.7594 0.3991
Si15 0.8837 0.1244 0.7325
Si16 0.8837 0.7594 0.2675
Si17 0.8895 0.4356 0.9348
Si18 0.8895 0.4539 0.0652

Top 6 peaks for 2θ from 10° to 90°, in order of falling intensity:
| 2theta | d [Å] | I/Imax |
| --- | --- | --- |
| 24.0 | 3.709 | 100.0 |
| 41.3 | 2.188 | 65.2 |
| 42.5 | 2.128 | 57.5 |
| 25.5 | 3.493 | 39.8 |
| 47.0 | 1.935 | 19.4 |
| 60.7 | 1.526 | 18.7 |



(4)
Diffraction record for Rb2TlAgCl6. The powder XRD pattern is simulated, not measured: it uses a crystal structure in the Materials Project, relaxed with GGA-PBE and Cu Kα (λ = 1.5418 Å).

Crystal structure
a = 7.5374 Å, b = 7.5374 Å, c = 7.5374 Å
α = 60.00°, β = 60.00°, γ = 60.00°
Positions (direct):
Rb1 0.2500 0.2500 0.2500
Rb2 0.7500 0.7500 0.7500
Tl1 0.0000 0.0000 0.0000
Ag1 0.5000 0.5000 0.5000
Cl1 0.2487 0.2487 0.7513
Cl2 0.2487 0.7513 0.2487
Cl3 0.2487 0.7513 0.7513
Cl4 0.7513 0.2487 0.2487
Cl5 0.7513 0.2487 0.7513
Cl6 0.7513 0.7513 0.2487

Top 6 peaks for 2θ from 10° to 90°, in order of falling intensity:
| 2theta | d [Å] | I/Imax |
| --- | --- | --- |
| 23.6 | 3.769 | 100.0 |
| 33.6 | 2.665 | 59.2 |
| 41.5 | 2.176 | 46.6 |
| 48.3 | 1.884 | 40.5 |
| 16.6 | 5.330 | 31.0 |
| 65.5 | 1.424 | 24.4 |



(5)
Diffraction record for CaH16O10. The powder XRD pattern is simulated, not measured: it uses a crystal structure in the Materials Project, relaxed with GGA-PBE and Cu Kα (λ = 1.5418 Å).

Crystal structure
a = 6.1725 Å, b = 6.3192 Å, c = 11.8222 Å
α = 87.59°, β = 89.83°, γ = 87.11°
Positions (direct):
Ca1 0.0000 0.0000 0.0000
Ca2 0.0049 0.0289 0.5409
H1 0.0565 0.6777 0.8370
H2 0.0572 0.3089 0.3445
H3 0.0758 0.6712 0.1882
H4 0.1841 0.2847 0.7203
H5 0.2675 0.9206 0.3489
H6 0.2757 0.6063 0.1026
H7 0.2774 0.8151 0.7252
H8 0.2804 0.3954 0.6072
H9 0.2832 0.3627 0.4070
H10 0.2981 0.6271 0.8982
H11 0.3448 0.6903 0.4135
H12 0.3614 0.2676 0.1087
H13 0.3612 0.2979 0.9047
H14 0.3640 0.0815 0.8323
H15 0.3798 0.7293 0.6106
H16 0.3838 0.0212 0.1341
H17 0.5506 0.0324 0.6380
H18 0.6104 0.6974 0.0936
H19 0.6114 0.2728 0.6182
H20 0.6183 0.8442 0.9058
H21 0.6274 0.2710 0.4103
H22 0.6715 0.0307 0.3661
H23 0.6966 0.3856 0.9073
H24 0.7102 0.3347 0.1111
H25 0.7126 0.8563 0.1777
H26 0.7177 0.9932 0.8096
H27 0.7187 0.6250 0.3845
H28 0.7244 0.6325 0.5975
H29 0.9337 0.3656 0.8460
H30 0.9567 0.3159 0.1512
H31 0.9566 0.7209 0.3713
H32 0.9690 0.5638 0.6225
O1 0.1332 0.6960 0.1120
O2 0.1423 0.3287 0.6417
O3 0.1682 0.2555 0.3981
O4 0.1898 0.7419 0.8589
O5 0.2208 0.8097 0.4026
O6 0.2657 0.1872 0.8648
O7 0.2736 0.1387 0.1274
O8 0.3169 0.8632 0.6463
O9 0.4730 0.4808 0.9457
O10 0.4865 0.4781 0.0718
O11 0.4891 0.5032 0.5681
O12 0.4907 0.5004 0.4414
O13 0.6599 0.8475 0.0996
O14 0.6715 0.1289 0.6475
O15 0.7368 0.1497 0.4017
O16 0.7459 0.8650 0.8586
O17 0.8125 0.7131 0.3345
O18 0.8293 0.2883 0.8900
O19 0.8336 0.2322 0.1352
O20 0.8711 0.6909 0.6075

Top 6 peaks for 2θ from 10° to 90°, in order of falling intensity:
| 2theta | d [Å] | I/Imax |
| --- | --- | --- |
| 15.0 | 5.906 | 100.0 |
| 32.8 | 2.734 | 67.8 |
| 30.3 | 2.953 | 48.6 |
| 19.6 | 4.523 | 42.0 |
| 42.4 | 2.133 | 39.0 |
| 25.2 | 3.539 | 37.4 |



> Number 5 is which compound?

CaH16O10